1.
For La3PmYEr, DFT lattice parameters and positions (GGA-PBE) gives the computed powder diffraction line list in this record (Cu Kα).
No peak broadening, texture or thermal motion is included.

Most intense lines, 2θ = 5–70°, in order of rising 2θ:
| d_spacing | Position (°2θ) | intensity |
| --- | --- | --- |
| 2.992 | 29.9 | 100.0 |
| 2.610 | 34.4 | 17.6 |
| 2.602 | 34.5 | 17.0 |
| 2.562 | 35.0 | 16.3 |
| 1.842 | 49.5 | 12.3 |
| 1.828 | 49.9 | 12.0 |
| 1.570 | 58.8 | 14.6 |
| 1.567 | 58.9 | 14.4 |
| 1.550 | 59.7 | 13.9 |
| 1.496 | 62.0 | 12.3 |

Crystal structure
a b c (Å): 8.1169 5.2189 10.4061
angles (deg): 90.00 108.73 90.00
Space group P2_1/m (No. 11)
Asymmetric unit:
La 0.1673 0.2500 0.0439 (multiplicity 2)
La 0.1701 0.2500 0.5399 (multiplicity 2)
La 0.1706 0.7500 0.7912 (multiplicity 2)
Pm 0.1708 0.7500 0.2938 (multiplicity 2)
Y 0.4970 0.7500 0.1272 (multiplicity 2)
Er 0.4996 0.2500 0.3780 (multiplicity 2)



2.
For La2Pm5YEr, DFT lattice parameters and positions (GGA-PBE) gives the computed powder diffraction line list in this record (Cu Kα).
No peak broadening, texture or thermal motion is included.

Most intense lines, 2θ = 5–70°, in order of rising 2θ:
| d_spacing | Position (°2θ) | intensity |
| --- | --- | --- |
| 3.235 | 27.6 | 18.8 |
| 3.014 | 29.6 | 42.0 |
| 2.864 | 31.2 | 40.5 |
| 2.827 | 31.7 | 100.0 |
| 2.700 | 33.2 | 13.9 |
| 2.144 | 42.1 | 12.0 |
| 1.822 | 50.1 | 11.5 |
| 1.646 | 55.9 | 20.8 |
| 1.581 | 58.3 | 14.9 |
| 1.537 | 60.2 | 13.2 |

Crystal structure
a b c (Å): 5.7270 20.3469 10.8013
angles (deg): 90.00 90.00 90.00
Space group Cmc2_1 (No. 36)
Asymmetric unit:
La 0.0000 0.1143 0.0000 (multiplicity 4)
La 0.0000 0.1168 0.5818 (multiplicity 4)
Pm 0.0000 0.0151 0.2858 (multiplicity 4)
Pm 0.0000 0.2776 0.5777 (multiplicity 4)
Pm 0.0000 0.2962 0.9706 (multiplicity 4)
Pm 0.0000 0.3843 0.2872 (multiplicity 4)
Pm 0.0000 0.4823 0.0090 (multiplicity 4)
Y 0.0000 0.4074 0.7296 (multiplicity 4)
Er 0.0000 0.2006 0.2765 (multiplicity 4)



3.
For LaPm2Y5Er, DFT lattice parameters and positions (GGA-PBE) gives the computed powder diffraction line list in this record (Cu Kα).
No peak broadening, texture or thermal motion is included.

Most intense lines, 2θ = 5–70°, in order of rising 2θ:
| d_spacing | Position (°2θ) | intensity |
| --- | --- | --- |
| 3.133 | 28.5 | 53.4 |
| 3.114 | 28.7 | 50.4 |
| 2.910 | 30.7 | 100.0 |
| 2.622 | 34.2 | 15.8 |
| 2.437 | 36.9 | 17.0 |
| 2.413 | 37.3 | 23.3 |
| 2.118 | 42.7 | 29.8 |
| 1.939 | 46.9 | 14.5 |
| 1.756 | 52.1 | 21.9 |
| 1.646 | 55.9 | 13.5 |

Crystal structure
a b c (Å): 8.8087 8.8087 15.5110
angles (deg): 90.00 90.00 90.00
Space group I4/mcm (No. 140)
Asymmetric unit:
La 0.0000 0.0000 0.2500 (multiplicity 4)
Pm 0.1160 0.3840 0.0000 (multiplicity 8)
Y 0.0000 0.0000 0.0000 (multiplicity 4)
Y 0.2081 0.2919 0.3645 (multiplicity 16)
Er 0.0000 0.5000 0.2500 (multiplicity 4)



4.
For La6Pr5Er, DFT lattice parameters and positions (GGA-PBE) gives the computed powder diffraction line list in this record (Cu Kα).
No peak broadening, texture or thermal motion is included.

Most intense lines, 2θ = 5–70°, in order of rising 2θ:
| d_spacing | Position (°2θ) | intensity |
| --- | --- | --- |
| 3.029 | 29.5 | 100.0 |
| 3.019 | 29.6 | 33.0 |
| 2.621 | 34.2 | 67.5 |
| 1.856 | 49.1 | 24.3 |
| 1.851 | 49.2 | 24.1 |
| 1.582 | 58.3 | 24.1 |
| 1.580 | 58.4 | 24.0 |
| 1.578 | 58.5 | 9.6 |
| 1.515 | 61.2 | 12.5 |
| 1.510 | 61.4 | 4.1 |

Crystal structure
a b c (Å): 12.2617 11.1316 6.4308
angles (deg): 90.00 99.98 90.00
Space group C2/m (No. 12)
Asymmetric unit:
La 0.2484 0.0000 0.2538 (multiplicity 4)
La 0.2485 0.1659 0.7491 (multiplicity 8)
Pr 0.0000 0.1651 0.0000 (multiplicity 4)
Pr 0.0000 0.3311 0.5000 (multiplicity 4)
Pr 0.0000 0.5000 0.0000 (multiplicity 2)
Er 0.0000 0.0000 0.5000 (multiplicity 2)



5.
For La7Pr2Er3, DFT lattice parameters and positions (GGA-PBE) gives the computed powder diffraction line list in this record (Cu Kα).
No peak broadening, texture or thermal motion is included.

Most intense lines, 2θ = 5–70°, in order of rising 2θ:
| d_spacing | Position (°2θ) | intensity |
| --- | --- | --- |
| 3.085 | 28.9 | 58.7 |
| 2.985 | 29.9 | 87.0 |
| 2.965 | 30.1 | 95.9 |
| 2.934 | 30.5 | 100.0 |
| 2.755 | 32.5 | 72.9 |
| 2.633 | 34.1 | 89.7 |
| 1.871 | 48.7 | 41.1 |
| 1.566 | 59.0 | 29.2 |
| 1.543 | 59.9 | 29.1 |
| 1.541 | 60.0 | 27.4 |

Crystal structure
a b c (Å): 6.5681 3.6071 17.8725
angles (deg): 90.00 95.45 90.00
Space group P2/m (No. 10)
Asymmetric unit:
La 0.0000 0.0000 0.0000 (multiplicity 1)
La 0.2297 0.5000 0.1714 (multiplicity 2)
La 0.2628 0.5000 0.4910 (multiplicity 2)
La 0.2821 0.0000 0.8353 (multiplicity 2)
Pr 0.0600 0.5000 0.6702 (multiplicity 2)
Er 0.4571 0.0000 0.3385 (multiplicity 2)
Er 0.5000 0.5000 0.0000 (multiplicity 1)



6.
For LaPr3Er5, DFT lattice parameters and positions (GGA-PBE) gives the computed powder diffraction line list in this record (Cu Kα).
No peak broadening, texture or thermal motion is included.

Most intense lines, 2θ = 5–70°, in order of rising 2θ:
| d_spacing | Position (°2θ) | intensity |
| --- | --- | --- |
| 7.656 | 11.6 | 15.2 |
| 5.641 | 15.7 | 19.3 |
| 3.171 | 28.1 | 19.0 |
| 3.073 | 29.1 | 38.3 |
| 2.822 | 31.7 | 100.0 |
| 2.616 | 34.3 | 25.5 |
| 2.307 | 39.0 | 19.2 |
| 2.302 | 39.1 | 23.5 |
| 1.784 | 51.2 | 17.4 |
| 1.410 | 66.3 | 14.2 |

Crystal structure
a b c (Å): 15.4910 11.2813 10.0641
angles (deg): 90.00 130.33 90.00
Space group C2/m (No. 12)
Asymmetric unit:
La 0.2456 0.0000 0.0817 (multiplicity 4)
Pr 0.0000 0.0000 0.0000 (multiplicity 2)
Pr 0.0000 0.5000 0.5000 (multiplicity 2)
Pr 0.0093 0.5000 0.2100 (multiplicity 4)
Pr 0.0255 0.0000 0.6866 (multiplicity 4)
Er 0.0000 0.2595 0.0000 (multiplicity 4)
Er 0.1549 0.2473 0.5530 (multiplicity 8)
Er 0.2158 0.5000 0.2111 (multiplicity 4)
Er 0.2235 0.0000 0.4080 (multiplicity 4)



7.
For La2PrEr9, DFT lattice parameters and positions (GGA-PBE) gives the computed powder diffraction line list in this record (Cu Kα).
No peak broadening, texture or thermal motion is included.

Most intense lines, 2θ = 5–70°, in order of rising 2θ:
| d_spacing | Position (°2θ) | intensity |
| --- | --- | --- |
| 2.913 | 30.7 | 100.0 |
| 2.523 | 35.6 | 50.6 |
| 1.784 | 51.2 | 36.1 |
| 1.522 | 60.9 | 42.9 |
| 1.457 | 63.9 | 12.4 |

Crystal structure
a b c (Å): 5.0456 5.0456 15.1429
angles (deg): 90.00 90.00 90.00
Space group P4/mmm (No. 123)
Asymmetric unit:
La 0.0000 0.0000 0.1662 (multiplicity 2)
Pr 0.0000 0.0000 0.5000 (multiplicity 1)
Er 0.0000 0.5000 0.0000 (multiplicity 2)
Er 0.0000 0.5000 0.3348 (multiplicity 4)
Er 0.5000 0.5000 0.1676 (multiplicity 2)
Er 0.5000 0.5000 0.5000 (multiplicity 1)



8.
For La5PrEr6, DFT lattice parameters and positions (GGA-PBE) gives the computed powder diffraction line list in this record (Cu Kα).
No peak broadening, texture or thermal motion is included.

Most intense lines, 2θ = 5–70°, in order of rising 2θ:
| d_spacing | Position (°2θ) | intensity |
| --- | --- | --- |
| 3.688 | 24.1 | 0.7 |
| 2.956 | 30.2 | 100.0 |
| 2.608 | 34.4 | 35.6 |
| 2.472 | 36.3 | 15.3 |
| 1.844 | 49.4 | 12.8 |
| 1.794 | 50.9 | 23.5 |
| 1.566 | 59.0 | 15.1 |
| 1.563 | 59.1 | 15.0 |
| 1.505 | 61.6 | 13.2 |
| 1.478 | 62.9 | 12.4 |

Crystal structure
a b c (Å): 5.2224 9.8890 15.6238
angles (deg): 90.00 90.00 90.00
Space group Immm (No. 71)
Asymmetric unit:
La 0.0000 0.0000 0.0000 (multiplicity 2)
La 0.0000 0.0000 0.3338 (multiplicity 4)
La 0.0000 0.5000 0.3332 (multiplicity 4)
Pr 0.0000 0.5000 0.0000 (multiplicity 2)
Er 0.0000 0.2502 0.1664 (multiplicity 8)
Er 0.0000 0.2497 0.5000 (multiplicity 4)



9.
For LaPr12Er5, DFT lattice parameters and positions (GGA-PBE) gives the computed powder diffraction line list in this record (Cu Kα).
No peak broadening, texture or thermal motion is included.

Most intense lines, 2θ = 5–70°, in order of rising 2θ:
| d_spacing | Position (°2θ) | intensity |
| --- | --- | --- |
| 7.752 | 11.4 | 0.7 |
| 2.992 | 29.9 | 100.0 |
| 2.595 | 34.6 | 34.0 |
| 2.583 | 34.7 | 16.7 |
| 1.835 | 49.7 | 12.2 |
| 1.831 | 49.8 | 24.1 |
| 1.564 | 59.1 | 29.0 |
| 1.559 | 59.3 | 14.2 |
| 1.496 | 62.0 | 12.4 |

Crystal structure
a b c (Å): 15.4983 15.5683 5.1891
angles (deg): 90.00 90.00 90.00
Space group Cmmm (No. 65)
Asymmetric unit:
La 0.0000 0.0000 0.0000 (multiplicity 2)
Pr 0.1631 0.5000 0.0000 (multiplicity 4)
Pr 0.1636 0.3337 0.5000 (multiplicity 8)
Pr 0.1654 0.1678 0.0000 (multiplicity 8)
Pr 0.1671 0.0000 0.5000 (multiplicity 4)
Er 0.0000 0.1686 0.5000 (multiplicity 4)
Er 0.0000 0.3330 0.0000 (multiplicity 4)
Er 0.0000 0.5000 0.5000 (multiplicity 2)



10.
For LaPr3Er12, DFT lattice parameters and positions (GGA-PBE) gives the computed powder diffraction line list in this record (Cu Kα).
No peak broadening, texture or thermal motion is included.

Most intense lines, 2θ = 5–70°, in order of rising 2θ:
| d_spacing | Position (°2θ) | intensity |
| --- | --- | --- |
| 2.909 | 30.7 | 100.0 |
| 2.519 | 35.6 | 50.6 |
| 1.781 | 51.3 | 36.1 |
| 1.519 | 61.0 | 42.9 |
| 1.455 | 64.0 | 12.4 |

Crystal structure
a b c (Å): 5.0384 5.0384 20.1566
angles (deg): 90.00 90.00 90.00
Space group P4/mmm (No. 123)
Asymmetric unit:
La 0.0000 0.0000 0.0000 (multiplicity 1)
Pr 0.0000 0.0000 0.2499 (multiplicity 2)
Pr 0.0000 0.0000 0.5000 (multiplicity 1)
Er 0.0000 0.5000 0.1262 (multiplicity 4)
Er 0.0000 0.5000 0.3752 (multiplicity 4)
Er 0.5000 0.5000 0.0000 (multiplicity 1)
Er 0.5000 0.5000 0.2507 (multiplicity 2)
Er 0.5000 0.5000 0.5000 (multiplicity 1)



11.
For LaPr2Er2, DFT lattice parameters and positions (GGA-PBE) gives the computed powder diffraction line list in this record (Cu Kα).
No peak broadening, texture or thermal motion is included.

Most intense lines, 2θ = 5–70°, in order of rising 2θ:
| d_spacing | Position (°2θ) | intensity |
| --- | --- | --- |
| 3.289 | 27.1 | 45.6 |
| 2.949 | 30.3 | 54.8 |
| 2.881 | 31.0 | 93.2 |
| 2.677 | 33.5 | 100.0 |
| 2.196 | 41.1 | 30.1 |
| 1.789 | 51.1 | 21.5 |
| 1.689 | 54.3 | 19.9 |
| 1.645 | 55.9 | 23.6 |
| 1.529 | 60.5 | 27.4 |
| 1.522 | 60.9 | 27.4 |

Crystal structure
a b c (Å): 5.8986 7.1712 16.5112
angles (deg): 90.00 90.00 90.00
Space group Imma (No. 74)
Asymmetric unit:
La 0.0000 0.2500 0.1099 (multiplicity 4)
Pr 0.0000 0.0038 0.6904 (multiplicity 8)
Er 0.0000 0.2500 0.5005 (multiplicity 4)
Er 0.0000 0.2500 0.8854 (multiplicity 4)



12.
For LaPr4Er4, DFT lattice parameters and positions (GGA-PBE) gives the computed powder diffraction line list in this record (Cu Kα).
No peak broadening, texture or thermal motion is included.

Most intense lines, 2θ = 5–70°, in order of rising 2θ:
| d_spacing | Position (°2θ) | intensity |
| --- | --- | --- |
| 7.702 | 11.5 | 1.3 |
| 2.965 | 30.1 | 100.0 |
| 2.568 | 34.9 | 50.7 |
| 2.349 | 38.3 | 0.7 |
| 1.816 | 50.3 | 36.2 |
| 1.548 | 59.7 | 43.0 |
| 1.482 | 62.7 | 12.4 |

Crystal structure
a b c (Å): 10.8927 10.8927 5.1358
angles (deg): 90.00 90.00 90.00
Space group I4/mmm (No. 139)
Asymmetric unit:
La 0.0000 0.0000 0.0000 (multiplicity 2)
Pr 0.1685 0.1685 0.5000 (multiplicity 8)
Er 0.0000 0.3380 0.0000 (multiplicity 8)